# 1
Structure and calculated powder XRD pattern of KLiZnP2O7 (a structure optimized by DFT (PBE); Cu Kα).
Neutral-atom scattering factors, no anomalous dispersion.

Cell and atoms:
```
data_KLiZnP2O7
_cell_length_a 12.517
_cell_length_b 5.150
_cell_length_c 10.405
_cell_angle_alpha 90.00
_cell_angle_beta 90.90
_cell_angle_gamma 90.00
_space_group_name_H-M_alt 'P 1 c 1'
_space_group_IT_number 7
_space_group_name_Hall 'P -2yc'
loop_
_atom_site_label
_atom_site_fract_x
_atom_site_fract_y
_atom_site_fract_z
K1 0.000 0.002 0.000
K2 0.500 0.497 0.780
Li1 0.244 0.450 0.987
Li2 0.743 0.474 0.992
Zn1 0.244 0.043 0.292
Zn2 0.743 0.029 0.285
P1 0.113 0.455 0.730
P2 0.374 0.061 0.548
P3 0.609 0.006 0.534
P4 0.878 0.489 0.740
O1 0.000 0.443 0.290
O2 0.115 0.161 0.757
O3 0.116 0.475 0.089
O4 0.199 0.407 0.315
O5 0.287 0.082 0.967
O6 0.371 0.352 0.531
O7 0.373 0.030 0.189
O8 0.485 0.053 0.990
O9 0.625 0.121 0.167
O10 0.627 0.295 0.533
O11 0.672 0.147 0.931
O12 0.808 0.365 0.338
O13 0.865 0.413 0.104
O14 0.868 0.192 0.756
```

The 10 most intense peaks (2θ = 5–70°), low angle first:
hkl, Position (°2θ), d_spacing, I/Imax
0 0 2, 17.05, 5.202, 42
0 1 0, 17.22, 5.150, 40
1 0 2, 18.61, 4.767, 50
2 0 2, 22.37, 3.974, 75
3 0 -2, 27.19, 3.280, 35
3 1 0, 27.52, 3.242, 61
2 1 -2, 28.11, 3.174, 81
2 1 2, 28.39, 3.144, 100
0 0 4, 34.49, 2.601, 67
0 2 0, 34.84, 2.575, 63

# 2
Structure and calculated powder XRD pattern of KLiZnP2O7 (a structure optimized by DFT (PBE); Cu Kα).
Neutral-atom scattering factors, no anomalous dispersion.

Cell and atoms:
```
data_KLiZnP2O7
_cell_length_a 12.600
_cell_length_b 5.158
_cell_length_c 10.442
_cell_angle_alpha 90.00
_cell_angle_beta 90.00
_cell_angle_gamma 90.00
_space_group_name_H-M_alt 'P m c 21'
_space_group_IT_number 26
_space_group_name_Hall 'P 2c -2'
loop_
_atom_site_label
_atom_site_fract_x
_atom_site_fract_y
_atom_site_fract_z
K1 0.000 0.002 0.000
K2 0.500 0.491 0.266
Li1 0.250 0.462 0.984
Zn1 0.249 0.032 0.283
P1 0.117 0.481 0.729
P2 0.382 0.035 0.534
O1 0.000 0.445 0.285
O2 0.126 0.184 0.742
O3 0.127 0.419 0.093
O4 0.193 0.382 0.324
O5 0.307 0.116 0.943
O6 0.373 0.070 0.172
O7 0.373 0.326 0.523
O8 0.500 0.055 0.985
```

The 10 most intense peaks (2θ = 5–70°), low angle first:
hkl, Position (°2θ), d_spacing, I/Imax
0 0 2, 16.98, 5.221, 21
0 1 0, 17.19, 5.158, 22
2 0 2, 22.11, 4.020, 31
2 1 0, 22.27, 3.991, 25
3 0 2, 27.25, 3.273, 33
3 1 0, 27.38, 3.257, 33
2 1 2, 28.14, 3.171, 100
4 0 2, 33.22, 2.697, 27
0 0 4, 34.36, 2.610, 35
0 2 0, 34.79, 2.579, 31

# 3
Structure and calculated powder XRD pattern of K2Li14Pb3O14 (a structure optimized by DFT (PBE); Cu Kα).
Neutral-atom scattering factors, no anomalous dispersion.

Cell and atoms:
```
data_K2Li14Pb3O14
_cell_length_a 7.360
_cell_length_b 8.108
_cell_length_c 12.978
_cell_angle_alpha 90.00
_cell_angle_beta 90.00
_cell_angle_gamma 90.00
_space_group_name_H-M_alt 'I m m m'
_space_group_IT_number 71
_space_group_name_Hall '-I 2 2'
loop_
_atom_site_label
_atom_site_fract_x
_atom_site_fract_y
_atom_site_fract_z
K1 0.247 0.000 0.000
Li1 0.000 0.145 0.229
Li2 0.000 0.158 0.500
Li3 0.227 0.156 0.366
Pb1 0.000 0.500 0.000
Pb2 0.000 0.500 0.273
O1 0.000 0.283 0.372
O2 0.000 0.314 0.127
O3 0.204 0.000 0.500
O4 0.208 0.000 0.248
```

The 10 most intense peaks (2θ = 5–70°), low angle first:
hkl, Position (°2θ), d_spacing, I/Imax
1 1 0, 16.26, 5.450, 100
0 2 0, 21.93, 4.054, 31
2 0 0, 24.18, 3.680, 18
0 0 4, 27.49, 3.245, 21
1 1 4, 32.11, 2.788, 24
2 1 3, 33.84, 2.649, 19
0 2 4, 35.42, 2.534, 42
3 1 0, 38.33, 2.348, 18
1 3 4, 45.38, 1.999, 18
3 3 4, 58.22, 1.585, 16